Simulated powder diffraction line list
Compound: Fe3H9S2O15
Radiation: Cu Kα, 1.54184 Å
Structure: a structure optimized by DFT (PBE+U)

Atomic structure:
a = 7.4643 Å, b = 7.4643 Å, c = 17.2782 Å
α = 90.00°, β = 90.00°, γ = 120.00°
Space group R3m (No. 160, hexagonal axes)
Symmetry-distinct sites (fractional):
Fe: 0.1696 0.3392 0.0000 [9 per cell]
H: 0.0662 0.5331 0.3864 [9 per cell]
H: 0.1387 0.0693 0.1252 [9 per cell]
H: 0.1923 0.3847 0.2723 [9 per cell]
S: 0.0000 0.0000 0.4749 [3 per cell]
S: 0.0000 0.0000 0.8612 [3 per cell]
O: 0.0000 0.0000 0.1540 [3 per cell]
O: 0.0000 0.0000 0.5602 [3 per cell]
O: 0.0000 0.0000 0.7761 [3 per cell]
O: 0.0692 0.5346 0.9738 [9 per cell]
O: 0.1091 0.2183 0.8904 [9 per cell]
O: 0.2071 0.4143 0.7048 [9 per cell]
O: 0.2180 0.1090 0.4460 [9 per cell]

Main lines, by angle (15 to 90 degrees two-theta):
index	two_theta	intensity
0 0 3	15.38	37
0 1 2	17.13	93
0 2 1	28.09	94
1 1 3	28.50	100
1 0 7	39.06	31
0 3 3	44.91	34
2 2 0	48.80	38
0 2 10	60.79	24